NaPm5Sn8: theoretical X-ray diffraction stick pattern (λ = 1.5418 Å (Cu Kα)), based on a cell relaxed with GGA-PBE.
Intensities are scaled so that the largest is 100.

Largest 6 diffraction maxima, in order of rising 2θ, 2θ = 10–90°:
29.62 deg, I = 100
29.80 deg, I = 68
31.27 deg, I = 62
35.37 deg, I = 60
35.85 deg, I = 51
36.63 deg, I = 82

Structural model:
Cell lengths 8.1069, 8.1069, 8.1069 Å; angles 107.93, 107.93, 112.60 degrees
Atoms (fractional coordinates):
Na  0.0000  0.0000  0.0000
Pm  0.1532  0.4960  0.8952
Pm  0.2500  0.7500  0.5000
Pm  0.5040  0.3992  0.6572
Pm  0.6008  0.2580  0.1048
Pm  0.7420  0.8468  0.3428
Sn  0.0137  0.2890  0.4026
Sn  0.1749  0.0898  0.7275
Sn  0.3623  0.4474  0.2725
Sn  0.3890  0.9863  0.2753
Sn  0.5526  0.8251  0.9149
Sn  0.7110  0.1137  0.7247
Sn  0.8863  0.6110  0.5974
Sn  0.9102  0.6377  0.0851